Diffraction record for K4Rb2Co2O5. The powder X-ray diffraction pattern is simulated, not measured: it uses a crystal structure in OQMD, relaxed with PBE+U and Cu Kα X-rays.
Intensities are scaled so that the largest is 100.

Top 12 peaks for 5° ≤ 2θ ≤ 70°, in order of falling intensity:
- 30.52 deg, 2.929 Å, I 100
- 30.79 deg, 2.904 Å, I 78
- 37.44 deg, 2.402 Å, I 53
- 31.41 deg, 2.848 Å, I 41
- 33.32 deg, 2.689 Å, I 40
- 15.56 deg, 5.696 Å, I 29
- 43.48 deg, 2.081 Å, I 23
- 49.65 deg, 1.836 Å, I 21
- 38.01 deg, 2.367 Å, I 19
- 29.28 deg, 3.050 Å, I 17
- 29.99 deg, 2.979 Å, I 17
- 65.11 deg, 1.433 Å, I 14

Atomic structure:
```
data_K4Rb2Co2O5
_chemical_formula_sum 'K4 Rb2 Co2 O5'
_cell_length_a 6.643
_cell_length_b 6.643
_cell_length_c 6.752
_cell_angle_alpha 90.02
_cell_angle_beta 90.02
_cell_angle_gamma 118.05
_space_group_name_H-M_alt 'P 1'
_space_group_IT_number 1
loop_
_space_group_symop_operation_xyz
'x,y,z'
loop_
_atom_site_label
_atom_site_type_symbol
_atom_site_fract_x
_atom_site_fract_y
_atom_site_fract_z
K1 K 0.218 0.782 0.000
K2 K 0.234 0.766 0.500
K3 K 0.766 0.234 0.500
K4 K 0.782 0.218 0.000
Rb1 Rb 0.329 0.329 0.795
Rb2 Rb 0.671 0.671 0.205
Co1 Co 0.209 0.209 0.302
Co2 Co 0.791 0.791 0.698
O1 O 0.000 0.000 0.500
O2 O 0.153 0.441 0.228
O3 O 0.441 0.153 0.228
O4 O 0.559 0.847 0.772
O5 O 0.847 0.559 0.772
```